No. 1
Starting from a PBE-relaxed structure, the powder diffractogram of LaHg2 was computed for a wavelength of 1.5418 Å.
Lines closer than 0.1° are merged.

Structural model:
```
data_LaHg2
_chemical_formula_sum 'La1 Hg2'
_cell_length_a 5.1133
_cell_length_b 5.1133
_cell_length_c 3.5965
_cell_angle_alpha 90.00
_cell_angle_beta 90.00
_cell_angle_gamma 120.00
_symmetry_space_group_name_H-M 'P 1'
_symmetry_Int_Tables_number 1
loop_
_symmetry_equiv_pos_as_xyz
'x,y,z'
loop_
_atom_site_label
_atom_site_type_symbol
_atom_site_fract_x
_atom_site_fract_y
_atom_site_fract_z
La1 La 0.0000 0.0000 0.0000
Hg1 Hg 0.3333 0.6667 0.5000
Hg2 Hg 0.6667 0.3333 0.5000
```

Principal peaks in the range 2θ from 10° to 90°, sorted by position:
- 24.75 deg, I 19
- 32.06 deg, I 100
- 35.10 deg, I 100
- 43.43 deg, I 27
- 48.27 deg, I 32
- 61.07 deg, I 32
- 62.97 deg, I 19
- 63.22 deg, I 37
- 83.10 deg, I 14
- 85.02 deg, I 17

No. 2
Starting from a PBE-relaxed structure, the powder diffractogram of NdAl11O18 was computed for a wavelength of 1.5418 Å.
Lines closer than 0.1° are merged.

Structural model:
```
data_NdAl11O18
_chemical_formula_sum 'Nd1 Al11 O18'
_cell_length_a 5.6090
_cell_length_b 5.6392
_cell_length_c 11.4949
_cell_angle_alpha 102.92
_cell_angle_beta 90.09
_cell_angle_gamma 118.26
_symmetry_space_group_name_H-M 'P 1'
_symmetry_Int_Tables_number 1
loop_
_symmetry_equiv_pos_as_xyz
'x,y,z'
loop_
_atom_site_label
_atom_site_type_symbol
_atom_site_fract_x
_atom_site_fract_y
_atom_site_fract_z
Nd1 Nd 0.0000 0.0000 0.0000
Al1 Al 0.0000 0.5000 0.5000
Al2 Al 0.1034 0.6883 0.2750
Al3 Al 0.1094 0.1959 0.2927
Al4 Al 0.3518 0.2027 0.5566
Al5 Al 0.3977 0.8113 0.7178
Al6 Al 0.4527 0.4153 0.8732
Al7 Al 0.5473 0.5847 0.1268
Al8 Al 0.6023 0.1887 0.2822
Al9 Al 0.6482 0.7973 0.4434
Al10 Al 0.8906 0.8041 0.7073
Al11 Al 0.8966 0.3117 0.7250
O1 O 0.0814 0.1716 0.7920
O2 O 0.0840 0.6938 0.7944
O3 O 0.1789 0.8714 0.5974
O4 O 0.1909 0.4156 0.6080
O5 O 0.2708 0.4485 0.0035
O6 O 0.2799 0.5826 0.3966
O7 O 0.3085 0.1011 0.3919
O8 O 0.3982 0.2861 0.1950
O9 O 0.4276 0.8171 0.2130
O10 O 0.5724 0.1829 0.7870
O11 O 0.6018 0.7139 0.8050
O12 O 0.6915 0.8989 0.6081
O13 O 0.7201 0.4174 0.6034
O14 O 0.7292 0.5515 0.9965
O15 O 0.8091 0.5844 0.3920
O16 O 0.8211 0.1286 0.4026
O17 O 0.9160 0.3062 0.2056
O18 O 0.9186 0.8284 0.2080
```

Principal peaks in the range 2θ from 10° to 90°, sorted by position:
- 18.12 deg, I 79
- 18.53 deg, I 80
- 19.20 deg, I 100
- 21.16 deg, I 87
- 22.87 deg, I 57
- 26.12 deg, I 47
- 32.05 deg, I 45
- 32.88 deg, I 57
- 35.07 deg, I 49
- 44.75 deg, I 58

No. 3
Starting from a PBE-relaxed structure, the powder diffractogram of Cu5Si2S7 was computed for a wavelength of 1.5418 Å.
Lines closer than 0.1° are merged.

Structural model:
```
data_Cu5Si2S7
_chemical_formula_sum 'Cu10 Si4 S14'
_cell_length_a 8.7625
_cell_length_b 8.7625
_cell_length_c 9.5923
_cell_angle_alpha 92.17
_cell_angle_beta 92.17
_cell_angle_gamma 42.45
_symmetry_space_group_name_H-M 'P 1'
_symmetry_Int_Tables_number 1
loop_
_symmetry_equiv_pos_as_xyz
'x,y,z'
loop_
_atom_site_label
_atom_site_type_symbol
_atom_site_fract_x
_atom_site_fract_y
_atom_site_fract_z
Cu1 Cu 0.1041 0.4656 0.4372
Cu2 Cu 0.1427 0.8573 0.5000
Cu3 Cu 0.2566 0.6024 0.1492
Cu4 Cu 0.3928 0.7433 0.8526
Cu5 Cu 0.4656 0.1041 0.9372
Cu6 Cu 0.5495 0.8794 0.5728
Cu7 Cu 0.6024 0.2566 0.6492
Cu8 Cu 0.7433 0.3928 0.3526
Cu9 Cu 0.8573 0.1427 0.0000
Cu10 Cu 0.8794 0.5495 0.0728
Si1 Si 0.0215 0.6895 0.7755
Si2 Si 0.3120 0.9684 0.2085
Si3 Si 0.6895 0.0215 0.2755
Si4 Si 0.9684 0.3120 0.7085
S1 S 0.0809 0.4156 0.8637
S2 S 0.1335 0.7697 0.9347
S3 S 0.2237 0.5611 0.5938
S4 S 0.2561 0.9601 0.6595
S5 S 0.3661 0.7138 0.3035
S6 S 0.4156 0.0809 0.3637
S7 S 0.5019 0.8400 0.0220
S8 S 0.5611 0.2237 0.0938
S9 S 0.6657 0.9737 0.7354
S10 S 0.7138 0.3661 0.8035
S11 S 0.7697 0.1335 0.4347
S12 S 0.8400 0.5019 0.5220
S13 S 0.9601 0.2561 0.1595
S14 S 0.9737 0.6657 0.2354
```

Principal peaks in the range 2θ from 10° to 90°, sorted by position:
- 28.10 deg, I 100
- 29.32 deg, I 58
- 31.64 deg, I 32
- 31.85 deg, I 62
- 49.67 deg, I 25
- 49.76 deg, I 47
- 53.31 deg, I 26
- 53.58 deg, I 24
- 53.80 deg, I 25
- 58.99 deg, I 21

No. 4
Starting from a PBE-relaxed structure, the powder diffractogram of La2H5 was computed for a wavelength of 1.5418 Å.
Lines closer than 0.1° are merged.

Structural model:
```
data_La2H5
_chemical_formula_sum 'La4 H10'
_cell_length_a 6.9083
_cell_length_b 6.9083
_cell_length_c 6.9083
_cell_angle_alpha 132.41
_cell_angle_beta 132.41
_cell_angle_gamma 69.59
_symmetry_space_group_name_H-M 'P 1'
_symmetry_Int_Tables_number 1
loop_
_symmetry_equiv_pos_as_xyz
'x,y,z'
loop_
_atom_site_label
_atom_site_type_symbol
_atom_site_fract_x
_atom_site_fract_y
_atom_site_fract_z
La1 La 0.0000 0.0000 0.0000
La2 La 0.2420 0.7420 0.5000
La3 La 0.4920 0.4920 0.0000
La4 La 0.7500 0.2500 0.5000
H1 H 0.1220 0.1022 0.4823
H2 H 0.1220 0.6398 0.0198
H3 H 0.2405 0.2405 0.0000
H4 H 0.3898 0.3720 0.5198
H5 H 0.3898 0.8699 0.0177
H6 H 0.6199 0.1022 0.9802
H7 H 0.6199 0.6398 0.5177
H8 H 0.8522 0.3720 0.9823
H9 H 0.8522 0.8699 0.4802
H10 H 0.9905 0.4905 0.5000
```

Principal peaks in the range 2θ from 10° to 90°, sorted by position:
- 27.55 deg, I 100
- 31.54 deg, I 17
- 32.11 deg, I 33
- 45.63 deg, I 26
- 46.05 deg, I 13
- 53.76 deg, I 15
- 54.51 deg, I 30
- 56.89 deg, I 13
- 73.43 deg, I 12
- 84.99 deg, I 9

No. 5
Starting from a PBE-relaxed structure, the powder diffractogram of YLuB8Rh8 was computed for a wavelength of 1.5418 Å.
Lines closer than 0.1° are merged.

Structural model:
```
data_YLuB8Rh8
_chemical_formula_sum 'Y1 Lu1 B8 Rh8'
_cell_length_a 5.3418
_cell_length_b 5.3418
_cell_length_c 7.4522
_cell_angle_alpha 90.00
_cell_angle_beta 90.00
_cell_angle_gamma 90.00
_symmetry_space_group_name_H-M 'P 1'
_symmetry_Int_Tables_number 1
loop_
_symmetry_equiv_pos_as_xyz
'x,y,z'
loop_
_atom_site_label
_atom_site_type_symbol
_atom_site_fract_x
_atom_site_fract_y
_atom_site_fract_z
Y1 Y 0.0000 0.0000 0.0000
Lu1 Lu 0.5000 0.5000 0.5000
B1 B 0.0000 0.3306 0.3500
B2 B 0.0000 0.6694 0.3500
B3 B 0.1689 0.5000 0.8492
B4 B 0.3306 0.0000 0.6500
B5 B 0.5000 0.1689 0.1508
B6 B 0.5000 0.8311 0.1508
B7 B 0.6694 0.0000 0.6500
B8 B 0.8311 0.5000 0.8492
Rh1 Rh 0.0000 0.2491 0.6434
Rh2 Rh 0.0000 0.7509 0.6434
Rh3 Rh 0.2491 0.0000 0.3566
Rh4 Rh 0.2521 0.5000 0.1465
Rh5 Rh 0.5000 0.2521 0.8535
Rh6 Rh 0.5000 0.7479 0.8535
Rh7 Rh 0.7479 0.5000 0.1465
Rh8 Rh 0.7509 0.0000 0.3566
```

Principal peaks in the range 2θ from 10° to 90°, sorted by position:
- 29.22 deg, I 52
- 33.79 deg, I 20
- 35.71 deg, I 93
- 39.62 deg, I 100
- 40.03 deg, I 75
- 45.08 deg, I 42
- 64.08 deg, I 22
- 70.52 deg, I 19
- 71.08 deg, I 31
- 81.63 deg, I 20

No. 6
Starting from a PBE-relaxed structure, the powder diffractogram of HfZnO3 was computed for a wavelength of 1.5418 Å.
Lines closer than 0.1° are merged.

Structural model:
```
data_HfZnO3
_chemical_formula_sum 'Hf1 Zn1 O3'
_cell_length_a 4.0767
_cell_length_b 4.0767
_cell_length_c 4.0767
_cell_angle_alpha 90.00
_cell_angle_beta 90.00
_cell_angle_gamma 90.00
_symmetry_space_group_name_H-M 'P 1'
_symmetry_Int_Tables_number 1
loop_
_symmetry_equiv_pos_as_xyz
'x,y,z'
loop_
_atom_site_label
_atom_site_type_symbol
_atom_site_fract_x
_atom_site_fract_y
_atom_site_fract_z
Hf1 Hf 0.0000 0.0000 0.0000
Zn1 Zn 0.5000 0.5000 0.5000
O1 O 0.0000 0.0000 0.5000
O2 O 0.0000 0.5000 0.0000
O3 O 0.5000 0.0000 0.0000
```

Principal peaks in the range 2θ from 10° to 90°, sorted by position:
- 21.80 deg, I 34
- 31.02 deg, I 100
- 44.45 deg, I 30
- 50.03 deg, I 15
- 55.19 deg, I 40
- 64.67 deg, I 19
- 69.13 deg, I 7
- 73.45 deg, I 17
- 81.85 deg, I 6
- 85.97 deg, I 3

No. 7
Starting from a PBE-relaxed structure, the powder diffractogram of TlCuS2 was computed for a wavelength of 1.5418 Å.
Lines closer than 0.1° are merged.

Structural model:
```
data_TlCuS2
_chemical_formula_sum 'Tl2 Cu2 S4'
_cell_length_a 6.9688
_cell_length_b 6.9688
_cell_length_c 6.9688
_cell_angle_alpha 131.84
_cell_angle_beta 131.84
_cell_angle_gamma 70.48
_symmetry_space_group_name_H-M 'P 1'
_symmetry_Int_Tables_number 1
loop_
_symmetry_equiv_pos_as_xyz
'x,y,z'
loop_
_atom_site_label
_atom_site_type_symbol
_atom_site_fract_x
_atom_site_fract_y
_atom_site_fract_z
Tl1 Tl 0.0000 0.0000 0.0000
Tl2 Tl 0.7500 0.2500 0.5000
Cu1 Cu 0.2500 0.7500 0.5000
Cu2 Cu 0.5000 0.5000 0.0000
S1 S 0.1744 0.1250 0.5494
S2 S 0.3750 0.8256 0.9506
S3 S 0.5756 0.6250 0.4506
S4 S 0.8750 0.4244 0.0494
```

Principal peaks in the range 2θ from 10° to 90°, sorted by position:
- 17.43 deg, I 23
- 27.15 deg, I 100
- 28.27 deg, I 12
- 31.46 deg, I 28
- 36.19 deg, I 13
- 45.08 deg, I 52
- 53.42 deg, I 45
- 72.42 deg, I 18
- 83.20 deg, I 16
- 89.53 deg, I 14

No. 8
Starting from a PBE-relaxed structure, the powder diffractogram of Tb3Al2 was computed for a wavelength of 1.5418 Å.
Lines closer than 0.1° are merged.

Structural model:
```
data_Tb3Al2
_chemical_formula_sum 'Tb12 Al8'
_cell_length_a 8.2812
_cell_length_b 8.2812
_cell_length_c 7.6076
_cell_angle_alpha 90.00
_cell_angle_beta 90.00
_cell_angle_gamma 90.00
_symmetry_space_group_name_H-M 'P 1'
_symmetry_Int_Tables_number 1
loop_
_symmetry_equiv_pos_as_xyz
'x,y,z'
loop_
_atom_site_label
_atom_site_type_symbol
_atom_site_fract_x
_atom_site_fract_y
_atom_site_fract_z
Tb1 Tb 0.0000 0.5000 0.2500
Tb2 Tb 0.0000 0.5000 0.7500
Tb3 Tb 0.1499 0.1499 0.0000
Tb4 Tb 0.2020 0.2020 0.5000
Tb5 Tb 0.2980 0.7020 0.0000
Tb6 Tb 0.3501 0.6499 0.5000
Tb7 Tb 0.5000 0.0000 0.2500
Tb8 Tb 0.5000 0.0000 0.7500
Tb9 Tb 0.6499 0.3501 0.5000
Tb10 Tb 0.7020 0.2980 0.0000
Tb11 Tb 0.7980 0.7980 0.5000
Tb12 Tb 0.8501 0.8501 0.0000
Al1 Al 0.1189 0.8811 0.3064
Al2 Al 0.1189 0.8811 0.6936
Al3 Al 0.3811 0.3811 0.1936
Al4 Al 0.3811 0.3811 0.8064
Al5 Al 0.6189 0.6189 0.1936
Al6 Al 0.6189 0.6189 0.8064
Al7 Al 0.8811 0.1189 0.3064
Al8 Al 0.8811 0.1189 0.6936
```

Principal peaks in the range 2θ from 10° to 90°, sorted by position:
- 24.03 deg, I 51
- 27.97 deg, I 51
- 30.53 deg, I 38
- 31.95 deg, I 100
- 33.78 deg, I 83
- 34.24 deg, I 68
- 36.28 deg, I 25
- 51.45 deg, I 20
- 52.71 deg, I 31
- 60.13 deg, I 25